Diffraction record for MgV4H8O14. The XRD peak list is computed, not measured: it uses a GGA+U-relaxed structure and Cu Kα (weighted mean of Kα1 and Kα2).
Neutral-atom scattering factors, no anomalous dispersion.

Structural model:
Cell lengths 6.416, 6.636, 8.062 Å; angles 87.41, 67.63, 78.62 degrees
Positions (direct):
Mg: 0.000 0.000 0.000
V: 0.223 0.332 0.402
V: 0.280 0.816 0.528
V: 0.720 0.184 0.472
V: 0.777 0.668 0.598
H: 0.203 0.333 0.007
H: 0.246 0.288 0.803
H: 0.295 0.918 0.171
H: 0.412 0.778 0.989
H: 0.588 0.222 0.011
H: 0.705 0.082 0.829
H: 0.754 0.712 0.197
H: 0.797 0.667 0.993
O: 0.117 0.628 0.503
O: 0.148 0.269 0.928
O: 0.177 0.889 0.743
O: 0.251 0.028 0.397
O: 0.268 0.859 0.074
O: 0.338 0.364 0.184
O: 0.426 0.293 0.537
O: 0.574 0.707 0.463
O: 0.662 0.636 0.816
O: 0.732 0.141 0.926
O: 0.749 0.972 0.603
O: 0.823 0.111 0.257
O: 0.852 0.731 0.072
O: 0.883 0.372 0.497

Main lines, by angle (15 to 90 degrees two-theta):
17.81°, rel. 57
22.25°, rel. 35
23.88°, rel. 97
27.95°, rel. 67
28.38°, rel. 49
28.72°, rel. 100
30.73°, rel. 71
31.75°, rel. 54